[1]
Calculated powder X-ray diffraction pattern of Hf2Pd3Au3 for Cu Kα, from a crystal structure in Alexandria, relaxed with GGA-PBE.
Neutral-atom scattering factors, no anomalous dispersion.

Peak list (10 most intense, 2θ = 10–90°, in order of falling intensity)
two_theta	d (Å)	Rel. int.
38.70	2.327	100
42.54	2.125	69
34.48	2.601	39
67.27	1.392	23
42.66	2.119	21
72.71	1.301	17
67.50	1.388	12
64.51	1.445	11
64.68	1.441	11
67.36	1.390	11

Atomic structure:
```
Hf2Pd3Au3
1.0
3.683 2.127 2.996
-3.683 2.127 2.996
0.000 -4.253 2.996
Hf Pd Au
2 3 3
direct
0.245 0.245 0.245
0.755 0.755 0.755
0.000 0.250 0.750
0.250 0.750 0.000
0.750 0.000 0.250
0.249 0.751 0.500
0.500 0.249 0.751
0.751 0.500 0.249
```

---

[2]
Calculated powder X-ray diffraction pattern of Hf2Pd8Au3 for Cu Kα, from a crystal structure in Alexandria, relaxed with GGA-PBE.
Neutral-atom scattering factors, no anomalous dispersion.

Peak list (10 most intense, 2θ = 10–90°, in order of falling intensity)
two_theta	d (Å)	Rel. int.
38.61	2.332	100
34.43	2.605	68
39.00	2.310	53
64.46	1.445	44
40.44	2.231	44
42.83	2.111	35
24.70	3.604	29
72.59	1.302	29
44.13	2.052	27
85.37	1.137	21

Atomic structure:
```
Hf2Pd8Au3
1.0
2.605 1.504 9.989
-2.605 1.504 9.989
0.000 -3.008 9.989
Hf Pd Au
2 8 3
direct
0.135 0.135 0.135
0.865 0.865 0.865
0.220 0.220 0.220
0.232 0.232 0.728
0.232 0.728 0.232
0.272 0.768 0.768
0.728 0.232 0.232
0.768 0.272 0.768
0.768 0.768 0.272
0.780 0.780 0.780
0.315 0.315 0.315
0.500 0.500 0.500
0.685 0.685 0.685
```

---

[3]
Calculated powder X-ray diffraction pattern of PmHfAu for Cu Kα, from a crystal structure in Alexandria, relaxed with GGA-PBE.
Neutral-atom scattering factors, no anomalous dispersion.

Peak list (10 most intense, 2θ = 10–90°, in order of falling intensity)
two_theta	d (Å)	Rel. int.
34.05	2.633	100
36.77	2.444	47
64.50	1.445	32
52.98	1.728	17
59.13	1.562	13
14.53	6.096	12
59.43	1.555	9
45.53	1.992	8
89.71	1.093	8
44.59	2.032	8

Atomic structure:
```
PmHfAu
1.0
-1.728 1.728 6.096
1.728 -1.728 6.096
1.728 1.728 -6.096
Pm Hf Au
1 1 1
direct
0.000 0.000 0.000
0.689 0.689 0.000
0.310 0.310 0.000
```

---

[4]
Calculated powder X-ray diffraction pattern of HfPt8Au2 for Cu Kα, from a crystal structure in Alexandria, relaxed with GGA-PBE.
Neutral-atom scattering factors, no anomalous dispersion.

Peak list (10 most intense, 2θ = 10–90°, in order of falling intensity)
two_theta	d (Å)	Rel. int.
38.17	2.358	100
40.41	2.232	82
39.75	2.267	34
45.97	1.974	31
50.86	1.795	27
80.15	1.197	23
70.95	1.328	20
62.36	1.489	18
85.78	1.133	14
79.84	1.201	13

Atomic structure:
```
HfPt8Au2
1.0
4.170 -5.879 0.000
4.170 5.879 0.000
0.000 0.000 3.949
Hf Pt Au
1 8 2
direct
0.000 0.000 0.000
0.045 0.299 0.500
0.229 0.771 0.000
0.299 0.045 0.500
0.326 0.326 0.000
0.674 0.674 0.000
0.701 0.955 0.500
0.771 0.229 0.000
0.955 0.701 0.500
0.378 0.622 0.500
0.622 0.378 0.500
```